Calculated X-ray powder pattern of BaIrO3 for λ = 1.5418 Å (Cu Kα), from a structure optimized by DFT (PBE).

Top 6 peaks for 2θ from 10° to 90°, sorted by position:
| 2θ/deg | intensity |
| --- | --- |
| 17.98 | 48 |
| 26.71 | 40 |
| 30.44 | 100 |
| 30.71 | 57 |
| 33.28 | 33 |
| 36.92 | 32 |

```
30
Lattice="5.101 -2.912 0.000 5.101 2.912 0.000 -3.435 0.000 14.824" Properties=species:S:1:pos:R:3 pbc="T T T"
Ba -0.148 0.000 6.310
Ba 0.278 0.000 11.125
Ba 3.298 0.000 1.151
Ba 3.468 0.000 13.673
Ba 6.488 0.000 3.699
Ba 6.915 0.000 8.514
Ir 0.000 0.000 0.000
Ir -0.299 0.000 2.595
Ir 3.100 0.000 4.799
Ir 3.383 0.000 7.412
Ir 3.667 0.000 10.026
Ir 7.065 0.000 12.229
O 1.004 1.567 13.417
O -1.707 0.000 13.723
O 2.466 1.374 6.189
O 3.666 1.456 3.504
O 1.151 0.000 4.032
O 3.100 1.456 11.320
O 5.762 1.567 1.407
O 4.300 1.374 8.636
O 1.974 0.000 8.906
O 4.792 0.000 5.919
O 2.466 -1.374 6.189
O 1.004 -1.567 13.417
O 3.666 -1.456 3.504
O 5.615 0.000 10.792
O 3.100 -1.456 11.320
O 4.300 -1.374 8.636
O 8.473 0.000 1.101
O 5.762 -1.567 1.407
```